For CeCoGe, a structure optimized by DFT (PBE) gives the calculated PXRD pattern in this record (Cu Kα, 1.54184 Å).
Intensities are scaled so that the largest is 100.

Most intense lines, 5 to 70 degrees two-theta, low angle first:
h k l, 2θ/deg, Rel. int.
1 0 1, 25.2, 24
0 0 2, 27.2, 15
1 1 0, 30.2, 52
1 1 1, 33.2, 27
1 0 2, 34.7, 58
1 1 2, 41.0, 100
2 0 0, 43.2, 64
2 1 2, 56.5, 28
1 0 4, 60.6, 27
2 2 0, 62.7, 21

Atomic structure:
```
data_CeCoGe
_chemical_formula_sum 'Ce2 Co2 Ge2'
_space_group_name_H-M_alt 'P 4/n m m'
_space_group_IT_number 129
_cell_length_a 4.191
_cell_length_b 4.191
_cell_length_c 6.565
_cell_angle_alpha 90.00
_cell_angle_beta 90.00
_cell_angle_gamma 90.00
loop_
_space_group_symop_operation_xyz
'x,y,z'
'-x,-y,-z'
'-y+1/2,x,z'
'y+1/2,-x,-z'
'-x+1/2,-y+1/2,z'
'x+1/2,y+1/2,-z'
'y,-x+1/2,z'
'-y,x+1/2,-z'
'x+1/2,-y,-z'
'-x+1/2,y,z'
'-y,-x,-z'
'y,x,z'
'-x,y+1/2,-z'
'x,-y+1/2,z'
'y+1/2,x+1/2,-z'
'-y+1/2,-x+1/2,z'
loop_
_atom_site_label
_atom_site_fract_x
_atom_site_fract_y
_atom_site_fract_z
_atom_site_occupancy
Ce1 0.250 0.250 0.193 1
Co1 0.250 0.750 0.500 1
Ge1 0.250 0.250 0.698 1
```